No. 1
The following is a calculated PXRD pattern of TiAlO. It was derived from a structure optimized by DFT (PBE), using λ = 1.5418 Å (Cu Kα).
Intensities are scaled so that the largest is 100.

Structure:
```
data_TiAlO
_cell_length_a 2.866
_cell_length_b 2.866
_cell_length_c 4.553
_cell_angle_alpha 90.00
_cell_angle_beta 90.00
_cell_angle_gamma 90.00
_space_group_name_H-M_alt 'P 4 m m'
_space_group_IT_number 99
_space_group_name_Hall 'P 4 -2'
loop_
_atom_site_label
_atom_site_fract_x
_atom_site_fract_y
_atom_site_fract_z
Ti1 0.000 0.000 0.000
Al1 0.500 0.500 0.414
O1 0.500 0.500 0.820
```

Largest 6 diffraction maxima, in order of falling intensity, 2θ from 15° to 90°:
| d (Å) | 2θ/deg | Rel. int. |
| --- | --- | --- |
| 2.425 | 37.07 | 100.0 |
| 2.026 | 44.72 | 56.9 |
| 4.553 | 19.50 | 34.9 |
| 1.782 | 51.25 | 29.0 |
| 1.234 | 77.35 | 21.1 |
| 1.514 | 61.24 | 19.7 |

=====

No. 2
The following is a calculated PXRD pattern of Er5Tm5Th2. It was derived from a structure optimized by DFT (PBE), using λ = 1.5418 Å (Cu Kα).
Intensities are scaled so that the largest is 100.

Structure:
```
data_Er5Tm5Th2
_cell_length_a 6.070
_cell_length_b 7.880
_cell_length_c 8.616
_cell_angle_alpha 68.49
_cell_angle_beta 89.43
_cell_angle_gamma 74.96
_space_group_name_H-M_alt 'P -1'
_space_group_IT_number 2
_space_group_name_Hall '-P 1'
loop_
_atom_site_label
_atom_site_fract_x
_atom_site_fract_y
_atom_site_fract_z
Er1 0.000 0.000 0.000
Er2 0.089 0.247 0.582
Er3 0.169 0.496 0.167
Tm1 0.254 0.752 0.747
Tm2 0.417 0.248 0.918
Tm3 0.500 0.500 0.500
Th1 0.336 0.999 0.333
```

Largest 6 diffraction maxima, in order of falling intensity, 2θ from 15° to 90°:
| d (Å) | 2θ/deg | Rel. int. |
| --- | --- | --- |
| 2.870 | 31.16 | 100.0 |
| 2.494 | 36.01 | 34.1 |
| 1.503 | 61.73 | 25.3 |
| 1.755 | 52.12 | 23.9 |
| 2.469 | 36.38 | 16.6 |
| 1.492 | 62.24 | 14.1 |